[1]
The following is a calculated X-ray powder pattern of PuUGaOs. It was derived from DFT lattice parameters and positions (PBE), using Cu Kα X-rays.
Neutral-atom scattering factors, no anomalous dispersion.

Largest 10 diffraction maxima, sorted by position, 5° ≤ 2θ ≤ 70°:
18.48 deg, rel. 145; 22.63 deg, rel. 164; 36.14 deg, rel. 1000; 36.40 deg, rel. 442; 40.83 deg, rel. 749; 41.25 deg, rel. 353; 48.82 deg, rel. 165; 55.12 deg, rel. 166; 62.97 deg, rel. 164; 67.87 deg, rel. 149

Structure:
a = 4.917 Å, b = 4.917 Å, c = 5.074 Å
α = 107.73°, β = 107.73°, γ = 39.62°
Positions (direct):
Pu: 0.000 0.000 0.000
U: 0.270 0.270 0.817
Ga: 0.488 0.488 0.478
Os: 0.750 0.750 0.330



[2]
The following is a calculated X-ray powder pattern of Pr4N3O. It was derived from DFT lattice parameters and positions (PBE), using Cu Kα X-rays.
Neutral-atom scattering factors, no anomalous dispersion.

Largest 5 diffraction maxima, sorted by position, 5° ≤ 2θ ≤ 70°:
29.84 deg, rel. 1000; 34.59 deg, rel. 771; 49.72 deg, rel. 536; 59.07 deg, rel. 458; 61.98 deg, rel. 180

Structure:
a = 6.350 Å, b = 6.350 Å, c = 3.668 Å
α = 90.00°, β = 90.00°, γ = 109.37°
Positions (direct):
Pr: 0.245 0.245 0.500
Pr: 0.248 0.752 0.000
Pr: 0.752 0.248 0.000
Pr: 0.755 0.755 0.500
N: 0.000 0.000 0.000
N: 0.000 0.500 0.500
N: 0.500 0.000 0.500
O: 0.500 0.500 0.000



[3]
The following is a calculated X-ray powder pattern of Mg2InHg4. It was derived from DFT lattice parameters and positions (PBE), using Cu Kα X-rays.
Neutral-atom scattering factors, no anomalous dispersion.

Largest 10 diffraction maxima, sorted by position, 5° ≤ 2θ ≤ 70°:
25.15 deg, rel. 284; 26.93 deg, rel. 283; 27.36 deg, rel. 231; 28.61 deg, rel. 368; 29.51 deg, rel. 299; 29.81 deg, rel. 142; 31.69 deg, rel. 1000; 31.87 deg, rel. 204; 41.90 deg, rel. 268; 45.57 deg, rel. 170

Structure:
a = 5.705 Å, b = 5.730 Å, c = 6.577 Å
α = 107.14°, β = 112.50°, γ = 98.24°
Positions (direct):
Mg: 0.207 0.309 0.495
Mg: 0.793 0.691 0.505
In: 0.000 0.500 0.000
Hg: 0.000 0.000 0.000
Hg: 0.356 0.867 0.625
Hg: 0.500 0.500 0.000
Hg: 0.644 0.133 0.375



[4]
The following is a calculated X-ray powder pattern of PrHBrCl. It was derived from DFT lattice parameters and positions (PBE), using Cu Kα X-rays.
Neutral-atom scattering factors, no anomalous dispersion.

Largest 10 diffraction maxima, sorted by position, 5° ≤ 2θ ≤ 70°:
12.06 deg, rel. 1000; 25.95 deg, rel. 571; 30.41 deg, rel. 713; 32.82 deg, rel. 626; 38.60 deg, rel. 274; 41.87 deg, rel. 298; 45.18 deg, rel. 374; 46.93 deg, rel. 205; 60.87 deg, rel. 148; 69.40 deg, rel. 192

Structure:
a = 7.696 Å, b = 7.696 Å, c = 7.696 Å
α = 30.23°, β = 30.23°, γ = 30.23°
Positions (direct):
Pr: 0.000 0.000 0.000
H: 0.334 0.334 0.334
Br: 0.757 0.757 0.757
Cl: 0.587 0.587 0.587



[5]
The following is a calculated X-ray powder pattern of La4AlZn3. It was derived from DFT lattice parameters and positions (PBE), using Cu Kα X-rays.
Neutral-atom scattering factors, no anomalous dispersion.

Largest 10 diffraction maxima, sorted by position, 5° ≤ 2θ ≤ 70°:
10.14 deg, rel. 9; 19.53 deg, rel. 7; 20.40 deg, rel. 7; 23.60 deg, rel. 184; 33.61 deg, rel. 1000; 41.48 deg, rel. 56; 48.27 deg, rel. 178; 54.41 deg, rel. 78; 60.09 deg, rel. 273; 60.16 deg, rel. 91

Structure:
a = 9.248 Å, b = 9.248 Å, c = 9.248 Å
α = 33.49°, β = 33.49°, γ = 33.49°
Positions (direct):
La: 0.124 0.124 0.124
La: 0.374 0.374 0.374
La: 0.626 0.626 0.626
La: 0.876 0.876 0.876
Al: 0.500 0.500 0.500
Zn: 0.000 0.000 0.000
Zn: 0.249 0.249 0.249
Zn: 0.751 0.751 0.751



[6]
The following is a calculated X-ray powder pattern of GeBOs. It was derived from DFT lattice parameters and positions (PBE), using Cu Kα X-rays.
Neutral-atom scattering factors, no anomalous dispersion.

Largest 10 diffraction maxima, sorted by position, 5° ≤ 2θ ≤ 70°:
19.56 deg, rel. 499; 30.54 deg, rel. 800; 30.89 deg, rel. 125; 36.53 deg, rel. 192; 36.82 deg, rel. 1000; 39.72 deg, rel. 397; 43.99 deg, rel. 131; 48.57 deg, rel. 971; 50.92 deg, rel. 409; 63.57 deg, rel. 112

Structure:
a = 2.895 Å, b = 2.927 Å, c = 4.538 Å
α = 90.00°, β = 90.00°, γ = 90.00°
Positions (direct):
Ge: 0.000 0.000 0.000
B: 0.000 0.500 0.639
Os: 0.500 0.000 0.466



[7]
The following is a calculated X-ray powder pattern of Mn2In2Br7. It was derived from DFT lattice parameters and positions (PBE), using Cu Kα X-rays.
Neutral-atom scattering factors, no anomalous dispersion.

Largest 10 diffraction maxima, sorted by position, 5° ≤ 2θ ≤ 70°:
11.49 deg, rel. 260; 18.71 deg, rel. 533; 19.36 deg, rel. 1000; 20.37 deg, rel. 345; 27.59 deg, rel. 609; 29.03 deg, rel. 584; 29.25 deg, rel. 270; 34.98 deg, rel. 368; 36.75 deg, rel. 682; 43.50 deg, rel. 447

Structure:
a = 7.986 Å, b = 7.986 Å, c = 6.865 Å
α = 96.61°, β = 96.61°, γ = 102.95°
Positions (direct):
Mn: 0.235 0.235 0.413
Mn: 0.765 0.765 0.587
In: 0.304 0.696 0.000
In: 0.696 0.304 0.000
Br: 0.000 0.000 0.500
Br: 0.085 0.416 0.222
Br: 0.393 0.393 0.738
Br: 0.416 0.085 0.222
Br: 0.584 0.915 0.778
Br: 0.607 0.607 0.262
Br: 0.915 0.584 0.778



[8]
The following is a calculated X-ray powder pattern of Tb5ErTlIn2. It was derived from DFT lattice parameters and positions (PBE), using Cu Kα X-rays.
Neutral-atom scattering factors, no anomalous dispersion.

Largest 10 diffraction maxima, sorted by position, 5° ≤ 2θ ≤ 70°:
29.53 deg, rel. 537; 29.88 deg, rel. 324; 32.53 deg, rel. 1000; 33.11 deg, rel. 124; 38.45 deg, rel. 129; 39.18 deg, rel. 89; 44.12 deg, rel. 193; 50.78 deg, rel. 105; 54.31 deg, rel. 221; 59.84 deg, rel. 135

Structure:
a = 9.398 Å, b = 9.398 Å, c = 9.398 Å
α = 125.85°, β = 125.85°, γ = 80.14°
Positions (direct):
Tb: 0.000 0.000 0.000
Tb: 0.075 0.575 0.917
Tb: 0.158 0.075 0.500
Tb: 0.342 0.842 0.917
Tb: 0.425 0.342 0.500
Tb: 0.500 0.500 0.000
Tb: 0.575 0.658 0.500
Tb: 0.658 0.158 0.083
Tb: 0.842 0.925 0.500
Tb: 0.925 0.425 0.083
Er: 0.250 0.750 0.500
Er: 0.750 0.250 0.500
Tl: 0.250 0.250 0.000
Tl: 0.750 0.750 0.000
In: 0.111 0.389 0.500
In: 0.389 0.889 0.279
In: 0.611 0.111 0.721
In: 0.889 0.611 0.500



[9]
The following is a calculated X-ray powder pattern of NdSm2Dy2Mg. It was derived from DFT lattice parameters and positions (PBE), using Cu Kα X-rays.
Neutral-atom scattering factors, no anomalous dispersion.

Largest 10 diffraction maxima, sorted by position, 5° ≤ 2θ ≤ 70°:
28.26 deg, rel. 367; 28.56 deg, rel. 1000; 29.04 deg, rel. 612; 30.56 deg, rel. 897; 32.40 deg, rel. 713; 34.78 deg, rel. 906; 41.33 deg, rel. 309; 53.47 deg, rel. 293; 55.92 deg, rel. 244; 57.91 deg, rel. 277

Structure:
a = 10.039 Å, b = 10.039 Å, c = 10.039 Å
α = 158.76°, β = 148.05°, γ = 38.69°
Positions (direct):
Nd: 0.000 0.000 0.000
Sm: 0.187 0.687 0.500
Sm: 0.813 0.313 0.500
Dy: 0.368 0.868 0.500
Dy: 0.632 0.132 0.500
Mg: 0.500 0.500 0.000



[10]
The following is a calculated X-ray powder pattern of BeCu2Cl6. It was derived from DFT lattice parameters and positions (PBE), using Cu Kα X-rays.
Neutral-atom scattering factors, no anomalous dispersion.

Largest 10 diffraction maxima, sorted by position, 5° ≤ 2θ ≤ 70°:
16.04 deg, rel. 727; 16.27 deg, rel. 518; 20.85 deg, rel. 487; 24.47 deg, rel. 246; 25.38 deg, rel. 266; 30.67 deg, rel. 1000; 39.60 deg, rel. 285; 41.47 deg, rel. 216; 53.81 deg, rel. 270; 54.57 deg, rel. 234

Structure:
a = 9.034 Å, b = 9.034 Å, c = 6.098 Å
α = 104.68°, β = 104.68°, γ = 98.31°
Positions (direct):
Be: 0.205 0.795 0.750
Be: 0.795 0.205 0.250
Cu: 0.191 0.364 0.463
Cu: 0.364 0.191 0.963
Cu: 0.636 0.809 0.037
Cu: 0.809 0.636 0.537
Cl: 0.012 0.772 0.866
Cl: 0.178 0.617 0.455
Cl: 0.228 0.988 0.634
Cl: 0.267 0.388 0.847
Cl: 0.383 0.822 0.045
Cl: 0.388 0.267 0.347
Cl: 0.612 0.733 0.653
Cl: 0.617 0.178 0.955
Cl: 0.733 0.612 0.153
Cl: 0.772 0.012 0.366
Cl: 0.822 0.383 0.545
Cl: 0.988 0.228 0.134



[11]
The following is a calculated X-ray powder pattern of Mg14FeCo. It was derived from DFT lattice parameters and positions (PBE), using Cu Kα X-rays.
Neutral-atom scattering factors, no anomalous dispersion.

Largest 10 diffraction maxima, sorted by position, 5° ≤ 2θ ≤ 70°:
16.56 deg, rel. 155; 24.63 deg, rel. 69; 33.48 deg, rel. 259; 34.31 deg, rel. 37; 36.68 deg, rel. 252; 38.32 deg, rel. 1000; 48.69 deg, rel. 44; 50.50 deg, rel. 153; 59.86 deg, rel. 165; 67.14 deg, rel. 174

Structure:
a = 6.180 Å, b = 6.180 Å, c = 9.801 Å
α = 90.00°, β = 90.00°, γ = 120.00°
Positions (direct):
Mg: 0.000 0.000 0.248
Mg: 0.000 0.000 0.752
Mg: 0.017 0.509 0.253
Mg: 0.017 0.509 0.747
Mg: 0.333 0.166 0.500
Mg: 0.335 0.168 0.000
Mg: 0.491 0.509 0.253
Mg: 0.491 0.509 0.747
Mg: 0.491 0.983 0.253
Mg: 0.491 0.983 0.747
Mg: 0.832 0.168 0.000
Mg: 0.832 0.665 0.000
Mg: 0.834 0.166 0.500
Mg: 0.834 0.667 0.500
Fe: 0.333 0.667 0.000
Co: 0.333 0.667 0.500



[12]
The following is a calculated X-ray powder pattern of Pm6Cd3Ag. It was derived from DFT lattice parameters and positions (PBE), using Cu Kα X-rays.
Neutral-atom scattering factors, no anomalous dispersion.

Largest 10 diffraction maxima, sorted by position, 5° ≤ 2θ ≤ 70°:
30.32 deg, rel. 45; 31.28 deg, rel. 189; 32.90 deg, rel. 323; 33.32 deg, rel. 1000; 35.45 deg, rel. 155; 44.33 deg, rel. 49; 46.03 deg, rel. 129; 49.61 deg, rel. 77; 59.01 deg, rel. 190; 60.82 deg, rel. 84

Structure:
a = 9.295 Å, b = 5.445 Å, c = 12.030 Å
α = 90.00°, β = 109.95°, γ = 90.00°
Positions (direct):
Pm: 0.038 0.250 0.416
Pm: 0.165 0.750 0.171
Pm: 0.249 0.250 0.002
Pm: 0.349 0.750 0.806
Pm: 0.362 0.250 0.347
Pm: 0.412 0.250 0.636
Pm: 0.588 0.750 0.364
Pm: 0.638 0.750 0.653
Pm: 0.651 0.250 0.194
Pm: 0.751 0.750 0.998
Pm: 0.835 0.250 0.829
Pm: 0.962 0.750 0.584
Cd: 0.030 0.750 0.872
Cd: 0.105 0.250 0.715
Cd: 0.269 0.750 0.476
Cd: 0.731 0.250 0.524
Cd: 0.895 0.750 0.285
Cd: 0.970 0.250 0.128
Ag: 0.454 0.750 0.085
Ag: 0.546 0.250 0.915